Starting from a structure optimized by DFT (PBE), the XRD peak list of SmY3Sc4 was computed for Cu Kα (λ = 1.5418 Å).

Structure:
```
SmY3Sc4
1.0
10.840 0.000 0.000
0.000 7.013 0.000
0.000 0.000 6.026
Sm Y Sc
2 6 8
direct
0.000 0.136 0.000
0.500 0.864 0.500
0.000 0.865 0.496
0.249 0.864 0.845
0.251 0.136 0.345
0.500 0.135 0.996
0.749 0.136 0.345
0.751 0.864 0.845
0.000 0.385 0.510
0.000 0.614 0.009
0.249 0.615 0.336
0.251 0.385 0.836
0.500 0.386 0.509
0.500 0.615 0.010
0.749 0.385 0.836
0.751 0.615 0.336
```

Principal peaks in the range 10° ≤ 2θ ≤ 90°, by angle:
- 2θ 12.62, I = 18
- 2θ 25.49, I = 25
- 2θ 29.47, I = 23
- 2θ 29.65, I = 14
- 2θ 33.05, I = 35
- 2θ 33.89, I = 100
- 2θ 34.04, I = 46
- 2θ 44.86, I = 15
- 2θ 52.50, I = 18
- 2θ 59.57, I = 18
- 2θ 63.46, I = 20
- 2θ 63.78, I = 13

***

Starting from a structure optimized by DFT (PBE), the XRD peak list of Dy3Al3Ir2 was computed for Cu Kα (λ = 1.5418 Å).

Structure:
```
Dy3Al3Ir2
1.0
7.746 0.000 0.000
0.000 15.171 0.000
0.000 0.000 5.742
Dy Al Ir
12 12 8
direct
0.031 0.109 0.103
0.031 0.391 0.103
0.164 0.250 0.628
0.336 0.750 0.128
0.469 0.609 0.603
0.469 0.891 0.603
0.531 0.109 0.397
0.531 0.391 0.397
0.664 0.250 0.872
0.836 0.750 0.372
0.969 0.609 0.897
0.969 0.891 0.897
0.162 0.035 0.596
0.162 0.465 0.596
0.177 0.750 0.617
0.323 0.250 0.117
0.338 0.535 0.096
0.338 0.965 0.096
0.662 0.035 0.904
0.662 0.465 0.904
0.677 0.750 0.883
0.823 0.250 0.383
0.838 0.535 0.404
0.838 0.965 0.404
0.132 0.607 0.372
0.132 0.893 0.372
0.368 0.107 0.872
0.368 0.393 0.872
0.632 0.607 0.128
0.632 0.893 0.128
0.868 0.107 0.628
0.868 0.393 0.628
```

Principal peaks in the range 10° ≤ 2θ ≤ 90°, by angle:
- 2θ 23.46, I = 59
- 2θ 26.15, I = 77
- 2θ 29.04, I = 42
- 2θ 33.05, I = 48
- 2θ 33.82, I = 100
- 2θ 35.50, I = 41
- 2θ 36.67, I = 88
- 2θ 37.86, I = 79
- 2θ 38.22, I = 70
- 2θ 41.12, I = 48
- 2θ 53.13, I = 36
- 2θ 54.35, I = 52

***

Starting from a structure optimized by DFT (PBE), the XRD peak list of Ac6Pt3Rh2 was computed for Cu Kα (λ = 1.5418 Å).

Structure:
```
Ac6Pt3Rh2
1.0
2.181 1.259 21.110
-2.181 1.259 21.110
0.000 -2.518 21.110
Ac Pt Rh
6 3 2
direct
0.086 0.086 0.086
0.196 0.196 0.196
0.362 0.362 0.362
0.638 0.638 0.638
0.804 0.804 0.804
0.914 0.914 0.914
0.000 0.000 0.000
0.276 0.276 0.276
0.724 0.724 0.724
0.448 0.448 0.448
0.552 0.552 0.552
```

Principal peaks in the range 10° ≤ 2θ ≤ 90°, by angle:
- 2θ 28.26, I = 100
- 2θ 30.84, I = 21
- 2θ 39.35, I = 19
- 2θ 41.40, I = 47
- 2θ 42.99, I = 26
- 2θ 50.88, I = 21
- 2θ 51.98, I = 8
- 2θ 61.21, I = 9
- 2θ 67.60, I = 18
- 2θ 68.53, I = 19
- 2θ 75.50, I = 8
- 2θ 76.60, I = 10

***

Starting from a structure optimized by DFT (PBE), the XRD peak list of NaMg2Au9 was computed for Cu Kα (λ = 1.5418 Å).

Structure:
```
NaMg2Au9
1.0
4.198 0.000 0.000
0.000 4.198 0.000
0.000 0.000 12.257
Na Mg Au
1 2 9
direct
0.000 0.000 0.000
0.000 0.000 0.334
0.000 0.000 0.666
0.000 0.500 0.171
0.000 0.500 0.500
0.000 0.500 0.829
0.500 0.000 0.171
0.500 0.000 0.500
0.500 0.000 0.829
0.500 0.500 0.000
0.500 0.500 0.335
0.500 0.500 0.665
```

Principal peaks in the range 10° ≤ 2θ ≤ 90°, by angle:
- 2θ 21.16, I = 16
- 2θ 21.75, I = 7
- 2θ 30.10, I = 7
- 2θ 30.53, I = 13
- 2θ 37.45, I = 100
- 2θ 43.09, I = 34
- 2θ 44.34, I = 15
- 2θ 62.58, I = 11
- 2θ 63.55, I = 21
- 2θ 75.26, I = 27
- 2θ 77.04, I = 12
- 2θ 79.88, I = 11

***

Starting from a structure optimized by DFT (PBE), the XRD peak list of Ba4Ga2N was computed for Cu Kα (λ = 1.5418 Å).

Structure:
```
Ba4Ga2N
1.0
-2.844 2.844 8.046
2.844 -2.844 8.046
2.844 2.844 -8.046
Ba Ga N
4 2 1
direct
0.000 0.500 0.500
0.165 0.165 0.000
0.500 0.000 0.500
0.835 0.835 0.000
0.379 0.379 0.000
0.621 0.621 0.000
0.000 0.000 0.000
```

Principal peaks in the range 10° ≤ 2θ ≤ 90°, by angle:
- 2θ 11.00, I = 14
- 2θ 22.79, I = 10
- 2θ 24.74, I = 48
- 2θ 31.45, I = 100
- 2θ 31.95, I = 12
- 2θ 33.41, I = 15
- 2θ 45.07, I = 18
- 2θ 46.54, I = 18
- 2θ 52.09, I = 13
- 2θ 55.99, I = 24
- 2θ 57.25, I = 9
- 2θ 74.61, I = 12

***

Starting from a structure optimized by DFT (PBE), the XRD peak list of Li3Al was computed for Cu Kα (λ = 1.5418 Å).

Structure:
```
Li3Al
1.0
2.754 0.000 0.000
0.000 2.754 0.000
0.000 0.000 10.172
Li Al
3 1
direct
0.000 0.000 0.000
0.000 0.500 0.742
0.500 0.000 0.258
0.500 0.500 0.500
```

Principal peaks in the range 10° ≤ 2θ ≤ 90°, by angle:
- 2θ 17.44, I = 60
- 2θ 26.28, I = 18
- 2θ 32.51, I = 23
- 2θ 33.71, I = 100
- 2θ 35.29, I = 34
- 2θ 37.12, I = 32
- 2θ 42.28, I = 52
- 2θ 47.54, I = 15
- 2θ 50.16, I = 50
- 2θ 56.21, I = 22
- 2θ 74.15, I = 15
- 2θ 78.17, I = 16

***

Starting from a structure optimized by DFT (PBE), the XRD peak list of KV2AgCl8 was computed for Cu Kα (λ = 1.5418 Å).

Structure:
```
KV2AgCl8
1.0
6.657 0.000 0.000
-3.328 5.765 0.000
0.000 0.000 9.381
K V Ag Cl
1 2 1 8
direct
0.000 0.000 0.000
0.333 0.667 0.752
0.667 0.333 0.248
0.000 0.000 0.500
0.022 0.332 0.685
0.311 0.978 0.685
0.332 0.311 0.315
0.333 0.667 0.989
0.667 0.333 0.011
0.668 0.689 0.685
0.689 0.022 0.315
0.978 0.668 0.315
```

Principal peaks in the range 10° ≤ 2θ ≤ 90°, by angle:
- 2θ 18.06, I = 100
- 2θ 24.47, I = 52
- 2θ 26.79, I = 38
- 2θ 28.47, I = 52
- 2θ 32.54, I = 28
- 2θ 33.00, I = 51
- 2θ 36.59, I = 23
- 2θ 42.62, I = 25
- 2θ 45.92, I = 21
- 2θ 47.30, I = 41
- 2θ 47.42, I = 42
- 2θ 88.09, I = 18